Record 1
Starting from DFT lattice parameters and positions (PBE), the X-ray diffraction stick pattern of SmBS3 was computed for Cu Kα.
Neutral-atom scattering factors, no anomalous dispersion.

Structure:
```
data_SmBS3
_cell_length_a 10.7294
_cell_length_b 8.1738
_cell_length_c 4.3321
_cell_angle_alpha 90.00
_cell_angle_beta 92.70
_cell_angle_gamma 90.00
_symmetry_space_group_name_H-M 'C 1 2/m 1'
_symmetry_Int_Tables_number 12
loop_
_symmetry_equiv_pos_as_xyz
'x,y,z'
'-x,-y,-z'
'-x,y,-z'
'x,-y,z'
'x+1/2,y+1/2,z'
'-x+1/2,-y+1/2,-z'
'-x+1/2,y+1/2,-z'
'x+1/2,-y+1/2,z'
loop_
_atom_site_label
_atom_site_type_symbol
_atom_site_fract_x
_atom_site_fract_y
_atom_site_fract_z
Sm1 Sm 0.2158 0.0000 0.2387
B1 B 0.0000 0.3345 0.5000
S1 S 0.0929 0.5000 0.2798
S2 S 0.1241 0.2084 0.7233
```

Most intense lines, 2θ = 10–90°, in order of falling intensity:
(3 1 1), d = 2.561 Å, I = 100
(1 1 -1), d = 3.650 Å, I = 78
(2 0 0), d = 5.359 Å, I = 76
(2 2 0), d = 3.250 Å, I = 61
(3 1 -1), d = 2.667 Å, I = 60
(1 3 1), d = 2.242 Å, I = 54
(1 1 1), d = 3.555 Å, I = 51
(0 2 0), d = 4.087 Å, I = 47
(2 2 -1), d = 2.635 Å, I = 43
(3 1 0), d = 3.273 Å, I = 39


Record 2
Starting from DFT lattice parameters and positions (PBE), the X-ray diffraction stick pattern of SmBS3 was computed for Cu Kα.
Neutral-atom scattering factors, no anomalous dispersion.

Structure:
```
data_SmBS3
_cell_length_a 7.4560
_cell_length_b 6.0522
_cell_length_c 8.8868
_cell_angle_alpha 90.00
_cell_angle_beta 90.00
_cell_angle_gamma 90.00
_symmetry_space_group_name_H-M 'P n a 21'
_symmetry_Int_Tables_number 33
loop_
_symmetry_equiv_pos_as_xyz
'x,y,z'
'-x,-y,z+1/2'
'-x+1/2,y+1/2,z+1/2'
'x+1/2,-y+1/2,z'
loop_
_atom_site_label
_atom_site_type_symbol
_atom_site_fract_x
_atom_site_fract_y
_atom_site_fract_z
Sm1 Sm 0.1176 0.0636 0.0000
B1 B 0.1447 0.5995 0.8301
S1 S 0.0028 0.3904 0.4910
S2 S 0.1736 0.8331 0.7025
S3 S 0.2043 0.8656 0.3008
```

Most intense lines, 2θ = 10–90°, in order of falling intensity:
(1 1 3), d = 2.504 Å, I = 100
(1 1 1), d = 4.154 Å, I = 98
(2 0 1), d = 3.438 Å, I = 93
(1 1 0), d = 4.699 Å, I = 73
(1 2 1), d = 2.674 Å, I = 73
(0 0 4), d = 2.224 Å, I = 69
(0 0 2), d = 4.443 Å, I = 68
(2 0 3), d = 2.319 Å, I = 51
(1 2 2), d = 2.371 Å, I = 46
(2 1 2), d = 2.583 Å, I = 38


Record 3
Starting from DFT lattice parameters and positions (PBE), the X-ray diffraction stick pattern of Ta4BS5 was computed for Cu Kα.
Neutral-atom scattering factors, no anomalous dispersion.

Structure:
```
data_Ta4BS5
_cell_length_a 15.3966
_cell_length_b 3.3884
_cell_length_c 6.9787
_cell_angle_alpha 90.00
_cell_angle_beta 102.85
_cell_angle_gamma 90.00
_symmetry_space_group_name_H-M 'C 1 2/m 1'
_symmetry_Int_Tables_number 12
loop_
_symmetry_equiv_pos_as_xyz
'x,y,z'
'-x,-y,-z'
'-x,y,-z'
'x,-y,z'
'x+1/2,y+1/2,z'
'-x+1/2,-y+1/2,-z'
'-x+1/2,y+1/2,-z'
'x+1/2,-y+1/2,z'
loop_
_atom_site_label
_atom_site_type_symbol
_atom_site_fract_x
_atom_site_fract_y
_atom_site_fract_z
Ta1 Ta 0.0012 0.0000 0.2838
Ta2 Ta 0.1441 0.5000 0.5755
B1 B 0.0000 0.5000 0.5000
S1 S 0.0000 0.5000 0.0000
S2 S 0.1626 0.0000 0.8361
S3 S 0.1716 0.0000 0.3340
```

Most intense lines, 2θ = 10–90°, in order of falling intensity:
(0 0 1), d = 6.804 Å, I = 100
(1 1 -2), d = 2.431 Å, I = 89
(2 0 0), d = 7.506 Å, I = 55
(3 1 0), d = 2.806 Å, I = 46
(6 0 0), d = 2.502 Å, I = 38
(5 1 0), d = 2.247 Å, I = 29
(3 1 1), d = 2.487 Å, I = 27
(5 1 2), d = 1.746 Å, I = 25
(7 1 -2), d = 1.741 Å, I = 23
(2 0 2), d = 2.868 Å, I = 22


Record 4
Starting from DFT lattice parameters and positions (PBE), the X-ray diffraction stick pattern of TbBS4 was computed for Cu Kα.
Neutral-atom scattering factors, no anomalous dispersion.

Structure:
```
data_TbBS4
_cell_length_a 8.2539
_cell_length_b 7.0076
_cell_length_c 8.6587
_cell_angle_alpha 90.00
_cell_angle_beta 90.00
_cell_angle_gamma 90.00
_symmetry_space_group_name_H-M 'C m c m'
_symmetry_Int_Tables_number 63
_symmetry_space_group_name_Hall '-C 2c 2'
loop_
_atom_site_label
_atom_site_type_symbol
_atom_site_fract_x
_atom_site_fract_y
_atom_site_fract_z
Tb1 Tb 0.0000 0.1517 0.2500
B1 B 0.0000 0.3591 0.7500
S1 S 0.0000 0.1932 0.5759
S2 S 0.1888 0.4861 0.2500
```

Most intense lines, 2θ = 10–90°, in order of falling intensity:
(0 0 2), d = 4.329 Å, I = 100
(1 1 1), d = 4.546 Å, I = 96
(1 1 3), d = 2.539 Å, I = 89
(2 0 0), d = 4.127 Å, I = 80
(1 1 0), d = 5.342 Å, I = 57
(2 2 1), d = 2.552 Å, I = 55
(2 2 3), d = 1.960 Å, I = 51
(1 3 0), d = 2.248 Å, I = 46
(3 1 3), d = 1.916 Å, I = 41
(0 2 1), d = 3.248 Å, I = 39


Record 5
Starting from DFT lattice parameters and positions (PBE), the X-ray diffraction stick pattern of ThBS4 was computed for Cu Kα.
Neutral-atom scattering factors, no anomalous dispersion.

Structure:
```
data_ThBS4
_cell_length_a 5.0411
_cell_length_b 6.4127
_cell_length_c 7.9971
_cell_angle_alpha 90.00
_cell_angle_beta 111.50
_cell_angle_gamma 90.00
_symmetry_space_group_name_H-M 'P 1 21/c 1'
_symmetry_Int_Tables_number 14
loop_
_symmetry_equiv_pos_as_xyz
'x,y,z'
'-x,-y,-z'
'-x,y+1/2,-z+1/2'
'x,-y+1/2,z+1/2'
loop_
_atom_site_label
_atom_site_type_symbol
_atom_site_fract_x
_atom_site_fract_y
_atom_site_fract_z
Th1 Th 0.0000 0.0000 0.0000
B1 B 0.5000 0.0000 0.5000
S1 S 0.1360 0.1175 0.3668
S2 S 0.4071 0.7175 0.3618
```

Most intense lines, 2θ = 10–90°, in order of falling intensity:
(0 1 1), d = 4.858 Å, I = 100
(1 1 -1), d = 3.868 Å, I = 86
(1 1 -3), d = 2.429 Å, I = 83
(1 0 0), d = 4.690 Å, I = 53
(2 1 -1), d = 2.343 Å, I = 48
(1 2 0), d = 2.647 Å, I = 47
(0 0 2), d = 3.720 Å, I = 35
(1 1 1), d = 3.031 Å, I = 30
(1 2 -2), d = 2.404 Å, I = 27
(0 1 3), d = 2.313 Å, I = 26


Record 6
Starting from DFT lattice parameters and positions (PBE), the X-ray diffraction stick pattern of TlBS2 was computed for Cu Kα.
Neutral-atom scattering factors, no anomalous dispersion.

Structure:
```
data_TlBS2
_cell_length_a 6.8446
_cell_length_b 5.1697
_cell_length_c 6.8457
_cell_angle_alpha 90.00
_cell_angle_beta 90.04
_cell_angle_gamma 90.00
_symmetry_space_group_name_H-M 'P 1 2/m 1'
_symmetry_Int_Tables_number 10
loop_
_symmetry_equiv_pos_as_xyz
'x,y,z'
'-x,-y,-z'
'-x,y,-z'
'x,-y,z'
loop_
_atom_site_label
_atom_site_type_symbol
_atom_site_fract_x
_atom_site_fract_y
_atom_site_fract_z
Tl1 Tl 0.0000 0.0000 0.0000
Tl2 Tl 0.5000 0.5000 0.5000
B1 B 0.0000 0.2499 0.5000
S1 S 0.0781 0.5000 0.6966
S2 S 0.1966 0.0000 0.4226
```

Most intense lines, 2θ = 10–90°, in order of falling intensity:
(1 1 2), d = 2.634 Å, I = 100
(1 1 0), d = 4.125 Å, I = 94
(1 0 1), d = 4.840 Å, I = 60
(0 0 2), d = 3.423 Å, I = 37
(3 2 1), d = 1.660 Å, I = 26
(3 0 1), d = 2.165 Å, I = 26
(1 2 1), d = 2.280 Å, I = 22
(2 1 -3), d = 1.782 Å, I = 21
(1 3 2), d = 1.502 Å, I = 18
(5 1 0), d = 1.323 Å, I = 17


Record 7
Starting from DFT lattice parameters and positions (PBE), the X-ray diffraction stick pattern of TlB4S7 was computed for Cu Kα.
Neutral-atom scattering factors, no anomalous dispersion.

Structure:
```
data_TlB4S7
_cell_length_a 13.4096
_cell_length_b 5.5805
_cell_length_c 5.3130
_cell_angle_alpha 90.00
_cell_angle_beta 90.00
_cell_angle_gamma 90.00
_symmetry_space_group_name_H-M 'P m n 21'
_symmetry_Int_Tables_number 31
loop_
_symmetry_equiv_pos_as_xyz
'x,y,z'
'-x+1/2,-y,z+1/2'
'-x,y,z'
'x+1/2,-y,z+1/2'
loop_
_atom_site_label
_atom_site_type_symbol
_atom_site_fract_x
_atom_site_fract_y
_atom_site_fract_z
Tl1 Tl 0.0000 0.1838 0.0000
B1 B 0.1243 0.6683 0.6171
B2 B 0.2484 0.1723 0.5974
S1 S 0.0000 0.8059 0.4991
S2 S 0.1274 0.7155 0.9742
S3 S 0.1288 0.3400 0.5181
S4 S 0.2376 0.8432 0.4746
```

Most intense lines, 2θ = 10–90°, in order of falling intensity:
(4 1 1), d = 2.528 Å, I = 100
(2 1 1), d = 3.337 Å, I = 50
(1 0 1), d = 4.939 Å, I = 44
(0 0 2), d = 2.657 Å, I = 41
(0 2 1), d = 2.470 Å, I = 40
(2 0 0), d = 6.705 Å, I = 36
(1 1 0), d = 5.152 Å, I = 33
(3 0 1), d = 3.420 Å, I = 31
(3 1 0), d = 3.489 Å, I = 29
(4 3 2), d = 1.387 Å, I = 25


Record 8
Starting from DFT lattice parameters and positions (PBE), the X-ray diffraction stick pattern of Tm3BS2 was computed for Cu Kα.
Neutral-atom scattering factors, no anomalous dispersion.

Structure:
```
data_Tm3BS2
_cell_length_a 7.7045
_cell_length_b 10.8272
_cell_length_c 22.7847
_cell_angle_alpha 90.00
_cell_angle_beta 90.00
_cell_angle_gamma 90.00
_symmetry_space_group_name_H-M 'F d d d'
_symmetry_Int_Tables_number 70
loop_
_symmetry_equiv_pos_as_xyz
'x,y,z'
'-x,-y,-z'
'-x+1/4,-y+1/4,z'
'x+1/4,y+1/4,-z'
'x,-y+1/4,-z+1/4'
'-x,y+1/4,z+1/4'
'-x+1/4,y,-z+1/4'
'x+1/4,-y,z+1/4'
'x,y+1/2,z+1/2'
'-x,-y+1/2,-z+1/2'
'-x+1/4,-y+3/4,z+1/2'
'x+1/4,y+3/4,-z+1/2'
'x,-y+3/4,-z+3/4'
'-x,y+3/4,z+3/4'
'-x+1/4,y+1/2,-z+3/4'
'x+1/4,-y+1/2,z+3/4'
'x+1/2,y,z+1/2'
'-x+1/2,-y,-z+1/2'
'-x+3/4,-y+1/4,z+1/2'
'x+3/4,y+1/4,-z+1/2'
'x+1/2,-y+1/4,-z+3/4'
'-x+1/2,y+1/4,z+3/4'
'-x+3/4,y,-z+3/4'
'x+3/4,-y,z+3/4'
'x+1/2,y+1/2,z'
'-x+1/2,-y+1/2,-z'
'-x+3/4,-y+3/4,z'
'x+3/4,y+3/4,-z'
'x+1/2,-y+3/4,-z+1/4'
'-x+1/2,y+3/4,z+1/4'
'-x+3/4,y+1/2,-z+1/4'
'x+3/4,-y+1/2,z+1/4'
loop_
_atom_site_label
_atom_site_type_symbol
_atom_site_fract_x
_atom_site_fract_y
_atom_site_fract_z
Tm1 Tm 0.0990 0.3750 0.3750
Tm2 Tm 0.1136 0.3626 0.2131
B1 B 0.1250 0.1250 0.0413
S1 S 0.1250 0.1250 0.3781
S2 S 0.1250 0.1250 0.5448
```

Most intense lines, 2θ = 10–90°, in order of falling intensity:
(0 4 0), d = 2.705 Å, I = 100
(0 2 6), d = 3.109 Å, I = 53
(2 2 0), d = 3.139 Å, I = 53
(2 4 6), d = 1.913 Å, I = 45
(2 8 6), d = 1.210 Å, I = 17
(2 2 12), d = 1.625 Å, I = 15
(4 2 6), d = 1.637 Å, I = 14
(0 4 12), d = 1.555 Å, I = 13
(0 0 12), d = 1.899 Å, I = 11
(0 8 0), d = 1.353 Å, I = 11


Record 9
Starting from DFT lattice parameters and positions (PBE), the X-ray diffraction stick pattern of Y4BS2 was computed for Cu Kα.
Neutral-atom scattering factors, no anomalous dispersion.

Structure:
```
data_Y4BS2
_cell_length_a 6.9007
_cell_length_b 11.4447
_cell_length_c 4.0001
_cell_angle_alpha 90.00
_cell_angle_beta 90.00
_cell_angle_gamma 90.00
_symmetry_space_group_name_H-M 'P b a m'
_symmetry_Int_Tables_number 55
loop_
_symmetry_equiv_pos_as_xyz
'x,y,z'
'-x,-y,-z'
'-x,-y,z'
'x,y,-z'
'x+1/2,-y+1/2,-z'
'-x+1/2,y+1/2,z'
'-x+1/2,y+1/2,-z'
'x+1/2,-y+1/2,z'
loop_
_atom_site_label
_atom_site_type_symbol
_atom_site_fract_x
_atom_site_fract_y
_atom_site_fract_z
Y1 Y 0.1253 0.2023 0.0000
Y2 Y 0.2287 0.9506 0.5000
B1 B 0.0000 0.0000 0.0000
S1 S 0.0905 0.6847 0.5000
```

Most intense lines, 2θ = 10–90°, in order of falling intensity:
(2 1 1), d = 2.547 Å, I = 100
(1 4 0), d = 2.643 Å, I = 100
(0 2 1), d = 3.279 Å, I = 100
(2 2 0), d = 2.959 Å, I = 89
(1 3 1), d = 2.562 Å, I = 58
(1 4 2), d = 1.595 Å, I = 41
(2 2 1), d = 2.377 Å, I = 40
(0 0 2), d = 2.000 Å, I = 38
(1 6 1), d = 1.670 Å, I = 36
(2 1 0), d = 3.306 Å, I = 26


Record 10
Starting from DFT lattice parameters and positions (PBE), the X-ray diffraction stick pattern of BSbTe was computed for Cu Kα.
Neutral-atom scattering factors, no anomalous dispersion.

Structure:
```
data_BSbTe
_cell_length_a 3.4195
_cell_length_b 6.0129
_cell_length_c 7.6357
_cell_angle_alpha 94.32
_cell_angle_beta 90.06
_cell_angle_gamma 106.50
_symmetry_space_group_name_H-M 'P -1'
_symmetry_Int_Tables_number 2
loop_
_symmetry_equiv_pos_as_xyz
'x,y,z'
'-x,-y,-z'
loop_
_atom_site_label
_atom_site_type_symbol
_atom_site_fract_x
_atom_site_fract_y
_atom_site_fract_z
B1 B 0.0602 0.1218 0.3048
Sb1 Sb 0.1263 0.2515 0.6036
Te1 Te 0.3795 0.7559 0.8499
```

Most intense lines, 2θ = 10–90°, in order of falling intensity:
(1 -1 1), d = 3.035 Å, I = 100
(0 1 -2), d = 3.295 Å, I = 53
(0 1 2), d = 3.064 Å, I = 49
(1 1 1), d = 2.382 Å, I = 49
(0 2 0), d = 2.874 Å, I = 44
(1 0 3), d = 1.985 Å, I = 27
(1 -3 1), d = 1.880 Å, I = 26
(1 -2 3), d = 1.848 Å, I = 19
(2 -3 0), d = 1.469 Å, I = 11
(2 0 2), d = 1.493 Å, I = 11


Record 11
Starting from DFT lattice parameters and positions (PBE), the X-ray diffraction stick pattern of BSb2TeW was computed for Cu Kα.
Neutral-atom scattering factors, no anomalous dispersion.

Structure:
```
data_BSb2TeW
_cell_length_a 5.2731
_cell_length_b 5.2731
_cell_length_c 5.2490
_cell_angle_alpha 90.00
_cell_angle_beta 90.00
_cell_angle_gamma 90.00
_symmetry_space_group_name_H-M 'P 4/m m m'
_symmetry_Int_Tables_number 123
_symmetry_space_group_name_Hall '-P 4 2'
loop_
_atom_site_label
_atom_site_type_symbol
_atom_site_fract_x
_atom_site_fract_y
_atom_site_fract_z
B1 B 0.0000 0.0000 0.0000
Sb1 Sb 0.0000 0.5000 0.5000
Te1 Te 0.5000 0.5000 0.0000
W1 W 0.5000 0.5000 0.5000
```

Most intense lines, 2θ = 10–90°, in order of falling intensity:
(1 0 0), d = 5.265 Å, I = 100
(2 0 0), d = 2.637 Å, I = 43
(2 1 0), d = 2.357 Å, I = 35
(2 0 2), d = 1.860 Å, I = 30
(0 0 2), d = 2.625 Å, I = 21
(1 0 2), d = 2.350 Å, I = 18
(2 2 2), d = 1.520 Å, I = 16
(1 1 1), d = 3.040 Å, I = 16
(2 2 0), d = 1.864 Å, I = 15
(2 1 2), d = 1.754 Å, I = 15


Record 12
Starting from DFT lattice parameters and positions (PBE), the X-ray diffraction stick pattern of Ti12BSb6 was computed for Cu Kα.
Neutral-atom scattering factors, no anomalous dispersion.

Structure:
```
data_Ti12BSb6
_cell_length_a 11.3625
_cell_length_b 11.3625
_cell_length_c 10.1183
_cell_angle_alpha 90.00
_cell_angle_beta 90.00
_cell_angle_gamma 120.00
_symmetry_space_group_name_H-M 'R -3'
_symmetry_Int_Tables_number 148
_symmetry_space_group_name_Hall '-R 3'
loop_
_atom_site_label
_atom_site_type_symbol
_atom_site_fract_x
_atom_site_fract_y
_atom_site_fract_z
Ti1 Ti 0.0288 0.1628 0.3766
Ti2 Ti 0.0716 0.1753 0.8715
B1 B 0.0000 0.0000 0.0000
Sb1 Sb 0.0321 0.4080 0.3017
```

Most intense lines, 2θ = 10–90°, in order of falling intensity:
(3 1 2), d = 2.402 Å, I = 100
(2 1 1), d = 3.491 Å, I = 92
(1 3 1), d = 2.635 Å, I = 80
(5 -3 2), d = 2.062 Å, I = 78
(2 -1 3), d = 2.900 Å, I = 68
(0 0 3), d = 3.373 Å, I = 44
(1 0 4), d = 2.450 Å, I = 43
(3 0 3), d = 2.351 Å, I = 40
(2 4 1), d = 1.829 Å, I = 30
(2 2 0), d = 2.841 Å, I = 30